Theoretical X-ray diffraction stick pattern
Compound: K2BiPWO8
Radiation: Cu Kα (λ = 1.5418 Å)
Structure: DFT lattice parameters and positions (GGA+U)
No peak broadening, texture or thermal motion is included.

Principal peaks in the range 10 to 80 degrees two-theta, low angle first:
Position (°2θ)  I/Imax  h k l
14.0  77  0 2 0
16.8  68  1 1 2
19.3  46  1 2 1
22.8  45  1 1 4
23.0  37  1 2 3
26.1  73  1 3 2
26.5  100  2 0 2
26.7  73  0 0 6
30.7  44  2 0 4
31.3  45  1 4 1

Structural model:
```
data_K2BiPWO8
_cell_length_a 7.1542
_cell_length_b 12.6082
_cell_length_c 20.0619
_cell_angle_alpha 90.00
_cell_angle_beta 90.00
_cell_angle_gamma 90.00
_symmetry_space_group_name_H-M 'I b c a'
_symmetry_Int_Tables_number 73
_symmetry_space_group_name_Hall '-I 2b 2c'
loop_
_atom_site_label
_atom_site_fract_x
_atom_site_fract_y
_atom_site_fract_z
_atom_site_occupancy
K1 0.0320 0.0783 0.1559 1
Bi1 0.2500 0.1697 0.5000 1
P1 0.2500 0.0731 0.0000 1
W1 0.0000 0.2500 0.3318 1
O1 0.0627 0.1372 0.7810 1
O2 0.0819 0.1509 0.0110 1
O3 0.2043 0.2158 0.3830 1
O4 0.2237 0.0000 0.5615 1
```

***

Theoretical X-ray diffraction stick pattern
Compound: K3V3Bi2O12
Radiation: Cu Kα (λ = 1.5418 Å)
Structure: DFT lattice parameters and positions (GGA+U)
No peak broadening, texture or thermal motion is included.

Principal peaks in the range 10 to 80 degrees two-theta, low angle first:
Position (°2θ)  I/Imax  h k l
13.6  100  2 0 0
13.8  27  1 1 -1
18.3  52  0 2 1
19.4  53  2 2 -1
27.2  35  3 1 -2
27.4  56  4 0 0
28.8  88  2 4 0
29.3  35  2 4 -1
30.7  33  1 1 2
31.3  39  1 3 -2

Structural model:
```
data_K3V3Bi2O12
_cell_length_a 14.1539
_cell_length_b 14.1104
_cell_length_c 7.2880
_cell_angle_alpha 90.00
_cell_angle_beta 113.19
_cell_angle_gamma 90.00
_symmetry_space_group_name_H-M 'C 1 2/c 1'
_symmetry_Int_Tables_number 15
loop_
_symmetry_equiv_pos_as_xyz
'x,y,z'
'-x,-y,-z'
'-x,y,-z+1/2'
'x,-y,z+1/2'
'x+1/2,y+1/2,z'
'-x+1/2,-y+1/2,-z'
'-x+1/2,y+1/2,-z+1/2'
'x+1/2,-y+1/2,z+1/2'
loop_
_atom_site_label
_atom_site_fract_x
_atom_site_fract_y
_atom_site_fract_z
_atom_site_occupancy
K1 0.0000 0.0000 0.0000 1
K2 0.0000 0.2273 0.2500 1
K3 0.0000 0.4884 0.2500 1
V1 0.0000 0.2533 0.7500 1
V2 0.2425 0.3913 0.6375 1
Bi1 0.2340 0.3512 0.1541 1
O1 0.0694 0.3284 0.9538 1
O2 0.0770 0.1813 0.6762 1
O3 0.1430 0.0653 0.3503 1
O4 0.1677 0.4856 0.6522 1
O5 0.1776 0.3359 0.4033 1
O6 0.2364 0.1883 0.1556 1
```

***

Theoretical X-ray diffraction stick pattern
Compound: KBiW2O8
Radiation: Cu Kα (λ = 1.5418 Å)
Structure: DFT lattice parameters and positions (GGA+U)
No peak broadening, texture or thermal motion is included.

Principal peaks in the range 10 to 80 degrees two-theta, low angle first:
Position (°2θ)  I/Imax  h k l
14.3  39  1 1 -1
26.7  100  2 2 0
27.5  17  3 1 -2
28.8  80  2 2 -2
31.3  30  0 0 2
32.4  17  4 0 -2
32.9  38  0 4 0
46.0  18  0 4 2
46.9  23  1 3 2
53.1  16  3 5 0

Structural model:
```
data_KBiW2O8
_cell_length_a 11.1205
_cell_length_b 10.9078
_cell_length_c 7.5320
_cell_angle_alpha 90.00
_cell_angle_beta 130.66
_cell_angle_gamma 90.00
_symmetry_space_group_name_H-M 'C 1 2/c 1'
_symmetry_Int_Tables_number 15
loop_
_symmetry_equiv_pos_as_xyz
'x,y,z'
'-x,-y,-z'
'-x,y,-z+1/2'
'x,-y,z+1/2'
'x+1/2,y+1/2,z'
'-x+1/2,-y+1/2,-z'
'-x+1/2,y+1/2,-z+1/2'
'x+1/2,-y+1/2,z+1/2'
loop_
_atom_site_label
_atom_site_fract_x
_atom_site_fract_y
_atom_site_fract_z
_atom_site_occupancy
K1 0.0000 0.2133 0.2500 1
Bi1 0.0000 0.2197 0.7500 1
W1 0.1944 0.4954 0.7140 1
O1 0.0160 0.3916 0.9719 1
O2 0.1352 0.0918 0.6839 1
O3 0.1880 0.4420 0.4429 1
O4 0.2128 0.1530 0.1337 1
```

***

Theoretical X-ray diffraction stick pattern
Compound: LaMn8Bi3O20
Radiation: Cu Kα (λ = 1.5418 Å)
Structure: DFT lattice parameters and positions (GGA+U)
No peak broadening, texture or thermal motion is included.

Principal peaks in the range 10 to 80 degrees two-theta, low angle first:
Position (°2θ)  I/Imax  h k l
15.1  48  0 1 0
23.6  21  1 0 -2
28.1  83  1 1 -2
29.7  100  2 1 -1
33.1  32  1 0 -3
34.3  23  1 2 1
40.1  28  2 2 -1
50.1  24  3 1 3
53.7  19  2 3 -1
57.4  39  3 2 3

Structural model:
```
data_LaMn8Bi3O20
_cell_length_a 7.6695
_cell_length_b 5.8662
_cell_length_c 8.6776
_cell_angle_alpha 90.00
_cell_angle_beta 90.08
_cell_angle_gamma 90.00
_symmetry_space_group_name_H-M 'P 1 m 1'
_symmetry_Int_Tables_number 6
loop_
_symmetry_equiv_pos_as_xyz
'x,y,z'
'x,-y,z'
loop_
_atom_site_label
_atom_site_fract_x
_atom_site_fract_y
_atom_site_fract_z
_atom_site_occupancy
La1 0.0000 0.0000 0.0000 1
Mn1 0.0497 0.5000 0.3185 1
Mn2 0.1425 0.2584 0.6663 1
Mn3 0.2396 0.5000 0.0183 1
Mn4 0.5485 0.5000 0.5171 1
Mn5 0.6421 0.2580 0.1670 1
Mn6 0.7334 0.5000 0.8191 1
Bi1 0.3024 0.0000 0.3353 1
Bi2 0.4907 0.0000 0.8329 1
Bi3 0.7975 0.0000 0.5008 1
O1 0.0308 0.2509 0.4656 1
O2 0.1438 0.2828 0.1679 1
O3 0.2526 0.2480 0.8703 1
O4 0.2883 0.5000 0.5953 1
O5 0.2983 0.0000 0.6115 1
O6 0.4863 0.0000 0.1112 1
O7 0.4951 0.5000 0.0967 1
O8 0.5304 0.2502 0.3696 1
O9 0.6423 0.2821 0.6670 1
O10 0.7490 0.2524 0.9653 1
O11 0.7883 0.5000 0.2397 1
O12 0.7949 0.0000 0.2258 1
O13 0.9884 0.0000 0.7207 1
O14 0.9968 0.5000 0.7401 1
```

***

Theoretical X-ray diffraction stick pattern
Compound: LaV2BiO8
Radiation: Cu Kα (λ = 1.5418 Å)
Structure: DFT lattice parameters and positions (GGA+U)
No peak broadening, texture or thermal motion is included.

Principal peaks in the range 10 to 80 degrees two-theta, low angle first:
Position (°2θ)  I/Imax  h k l
18.0  46  1 0 1
23.9  100  2 0 0
30.0  19  2 1 1
32.1  72  1 1 2
34.0  23  2 2 0
38.7  17  3 0 1
46.0  16  3 2 1
47.5  60  3 1 2
48.8  16  4 0 0
59.6  18  3 3 2

Structural model:
```
data_LaV2BiO8
_cell_length_a 7.4612
_cell_length_b 7.4612
_cell_length_c 6.5668
_cell_angle_alpha 90.00
_cell_angle_beta 90.00
_cell_angle_gamma 90.00
_symmetry_space_group_name_H-M 'I -4 m 2'
_symmetry_Int_Tables_number 119
_symmetry_space_group_name_Hall 'I -4 -2'
loop_
_atom_site_label
_atom_site_fract_x
_atom_site_fract_y
_atom_site_fract_z
_atom_site_occupancy
La1 0.0000 0.0000 0.0000 1
V1 0.0000 0.0000 0.5000 1
V2 0.0000 0.5000 0.7500 1
Bi1 0.0000 0.5000 0.2500 1
O1 0.0000 0.1809 0.3318 1
O2 0.0000 0.3212 0.9200 1
```

***

Theoretical X-ray diffraction stick pattern
Compound: Li5Mn3Bi2P6O24
Radiation: Cu Kα (λ = 1.5418 Å)
Structure: DFT lattice parameters and positions (GGA+U)
No peak broadening, texture or thermal motion is included.

Principal peaks in the range 10 to 80 degrees two-theta, low angle first:
Position (°2θ)  I/Imax  h k l
14.1  100  1 1 1
19.6  65  1 -1 1
19.8  65  1 1 2
19.9  53  0 2 1
24.4  55  0 2 2
31.0  45  1 1 -1
31.2  41  -1 1 2
31.7  59  -2 2 1
31.9  49  3 -1 1
34.8  42  1 3 3

Structural model:
```
data_Li5Mn3Bi2P6O24
_cell_length_a 8.8654
_cell_length_b 8.9391
_cell_length_c 8.9749
_cell_angle_alpha 60.65
_cell_angle_beta 60.56
_cell_angle_gamma 89.98
_symmetry_space_group_name_H-M 'P 1'
_symmetry_Int_Tables_number 1
loop_
_symmetry_equiv_pos_as_xyz
'x,y,z'
loop_
_atom_site_label
_atom_site_fract_x
_atom_site_fract_y
_atom_site_fract_z
_atom_site_occupancy
Li1 0.0000 0.0000 0.0000 1
Li2 0.0050 0.5159 0.3127 1
Li3 0.5652 0.1930 0.3443 1
Li4 0.7986 0.6639 0.1886 1
Li5 0.9909 0.6912 0.8315 1
Mn1 0.2740 0.4994 0.5253 1
Mn2 0.3506 0.1872 0.1493 1
Mn3 0.7773 0.9968 0.5232 1
Bi1 0.3262 0.8307 0.8405 1
Bi2 0.7995 0.3365 0.8344 1
P1 0.0458 0.3830 0.0456 1
P2 0.0693 0.7970 0.3364 1
P3 0.0867 0.0941 0.6234 1
P4 0.5652 0.5915 0.0349 1
P5 0.5696 0.2922 0.6339 1
P6 0.5736 0.8940 0.3291 1
O1 0.0479 0.4502 0.8455 1
O2 0.0584 0.2273 0.6959 1
O3 0.0578 0.5961 0.4808 1
O4 0.0670 0.5605 0.0437 1
O5 0.0747 0.9154 0.8048 1
O6 0.0829 0.8026 0.1511 1
O7 0.2052 0.3162 0.0394 1
O8 0.2405 0.9373 0.2471 1
O9 0.2777 0.1596 0.4283 1
O10 0.3892 0.5467 0.2308 1
O11 0.4029 0.3363 0.6375 1
O12 0.4027 0.7439 0.4428 1
O13 0.5583 0.2465 0.8327 1
O14 0.5605 0.9200 0.4974 1
O15 0.5640 0.1114 0.6399 1
O16 0.5652 0.4215 0.0175 1
O17 0.5685 0.7494 0.8457 1
O18 0.5795 0.0901 0.1722 1
O19 0.7404 0.6375 0.0187 1
O20 0.7512 0.4404 0.4458 1
O21 0.7520 0.8685 0.2064 1
O22 0.8587 0.2388 0.2325 1
O23 0.8938 0.8242 0.4612 1
O24 0.9328 0.0641 0.6002 1
```